No. 1
Theoretical PXRD pattern of UCrFe for Cu Kα X-rays, from the GGA-PBE geometry in the Materials Project.
Neutral-atom scattering factors, no anomalous dispersion.

```
UCrFe
1.0
-2.2160 2.5926 3.7738
2.2160 -2.5926 3.7738
2.2160 2.5926 -3.7738
U Cr Fe
2 2 2
Cartesian
0.0000 1.2963 1.0450
2.2160 1.2963 2.7288
1.1080 1.2963 -1.8869
1.1080 -1.2963 1.8869
2.2160 0.0000 0.0000
0.0000 0.0000 3.7738
```

Most intense lines, 5° ≤ 2θ ≤ 70°, low angle first:
- 20.78°, I 52
- 34.60°, I 27
- 35.73°, I 100
- 41.26°, I 44
- 42.12°, I 53
- 46.14°, I 50

---

No. 2
Theoretical PXRD pattern of V2Cr2Fe for Cu Kα X-rays, from the GGA-PBE geometry in the Materials Project.
Neutral-atom scattering factors, no anomalous dispersion.

```
V2Cr2Fe
1.0
0.0000 2.0464 10.2384
1.4605 0.0000 10.2384
1.4605 2.0464 0.0000
V Cr Fe
2 2 1
Cartesian
0.0000 0.0000 0.0000
1.4605 2.0464 8.0572
1.4605 2.0464 4.0398
1.4605 2.0464 12.3111
1.4605 2.0464 16.2528
```

Most intense lines, 5° ≤ 2θ ≤ 70°, low angle first:
- 8.64°, I 4
- 44.04°, I 100
- 44.25°, I 49
- 49.40°, I 1
- 63.72°, I 7
- 64.36°, I 14